Theoretical PXRD pattern of Li6Tc4O11 for a wavelength of 1.5418 Å, from a GGA-PBE-relaxed structure.
Neutral-atom scattering factors, no anomalous dispersion.

Largest 12 diffraction maxima, most intense first, 2θ from 10° to 90°:
2theta, intensity, index
18.3, 100, 0 1 0
20.9, 46, 1 0 1
24.6, 35, 1 1 1
43.5, 35, 1 1 -3
45.4, 26, 1 2 3
30.9, 22, 1 -1 1
36.6, 22, 1 1 3
36.8, 21, 1 0 -3
57.5, 14, 3 0 1
46.9, 13, -2 1 2
64.4, 10, 0 1 6
64.2, 9, 3 2 1

Crystal structure
```
Li6Tc4O11
1.0
4.9284 0.0000 0.0000
0.6618 4.9716 0.0000
0.3079 1.9129 8.4962
Li Tc O
6 4 11
Cartesian
0.0000 0.0000 0.0000
0.1241 0.6870 2.7086
1.8447 4.2741 7.7871
2.5009 1.0482 4.2539
2.7175 1.6159 7.0979
4.1482 3.2291 3.5450
1.5454 3.6981 5.0542
1.7908 2.9651 2.0383
3.8218 2.6641 0.8181
4.4954 3.8897 6.2375
0.6988 1.6566 1.0436
1.0384 2.7344 6.7470
0.9606 2.2721 3.7937
2.3199 4.3975 3.3504
2.3529 3.8744 0.3598
2.7906 4.9686 5.9823
3.3095 1.7645 2.5095
3.4498 2.5864 5.3174
3.5839 3.1769 8.1608
4.9994 5.2845 7.5433
4.9490 3.9881 1.8238
```